[1]
Theoretical XRD peak list of Li2SeO4 for Cu Kα, 1.54184 Å, from the GGA-PBE geometry in the Materials Project.
Neutral-atom scattering factors, no anomalous dispersion.

Top 8 peaks for 5 to 70 degrees two-theta, in order of rising 2θ:
- 7.093 Å, 2θ 12.48, I 71
- 6.453 Å, 2θ 13.72, I 45
- 4.996 Å, 2θ 17.75, I 100
- 4.017 Å, 2θ 22.13, I 30
- 3.909 Å, 2θ 22.75, I 35
- 3.687 Å, 2θ 24.14, I 60
- 3.460 Å, 2θ 25.75, I 33
- 3.353 Å, 2θ 26.58, I 35

Structural model:
```
data_Li2SeO4
_chemical_formula_sum 'Li12 Se6 O24'
_cell_length_a 8.1778
_cell_length_b 8.5231
_cell_length_c 10.2781
_cell_angle_alpha 92.21
_cell_angle_beta 100.79
_cell_angle_gamma 117.38
_symmetry_space_group_name_H-M 'P 1'
_symmetry_Int_Tables_number 1
loop_
_symmetry_equiv_pos_as_xyz
'x,y,z'
loop_
_atom_site_label
_atom_site_fract_x
_atom_site_fract_y
_atom_site_fract_z
Li1 0.0000 0.0000 0.0000
Li2 0.0157 0.7976 0.5497
Li3 0.2989 0.1519 0.3953
Li4 0.3271 0.9727 0.9470
Li5 0.3931 0.4437 0.6909
Li6 0.4280 0.6020 0.3131
Li7 0.5326 0.7217 0.0641
Li8 0.6061 0.0428 0.2649
Li9 0.7117 0.9108 0.6847
Li10 0.7908 0.2428 0.8720
Li11 0.8859 0.3530 0.6185
Li12 0.9186 0.5153 0.2363
Se1 0.0805 0.1368 0.7444
Se2 0.2358 0.8202 0.1924
Se3 0.4553 0.0827 0.6691
Se4 0.4808 0.3233 0.1669
Se5 0.8481 0.6394 0.7903
Se6 0.8629 0.8763 0.2751
O1 0.0292 0.0828 0.3347
O2 0.0323 0.8285 0.8768
O3 0.1115 0.3310 0.6790
O4 0.1369 0.4367 0.9976
O5 0.1993 0.6201 0.2496
O6 0.2332 0.5379 0.9265
O7 0.2901 0.8742 0.6146
O8 0.2951 0.1442 0.0699
O9 0.3769 0.9808 0.3280
O10 0.3907 0.2288 0.6025
O11 0.4041 0.8599 0.0962
O12 0.4264 0.3683 0.3090
O13 0.5047 0.1135 0.8378
O14 0.5398 0.5002 0.0887
O15 0.6515 0.6659 0.7509
O16 0.6577 0.8357 0.3142
O17 0.6611 0.1227 0.6310
O18 0.6709 0.2875 0.2056
O19 0.8103 0.4767 0.8822
O20 0.8179 0.8570 0.1064
O21 0.8947 0.5867 0.6469
O22 0.9184 0.1044 0.8453
O23 0.9260 0.7268 0.3373
O24 0.9348 0.9679 0.6151
```


[2]
Theoretical XRD peak list of Li2SeO4 for Cu Kα, 1.54184 Å, from the GGA-PBE geometry in the Materials Project.
Neutral-atom scattering factors, no anomalous dispersion.

Top 8 peaks for 5 to 70 degrees two-theta, in order of rising 2θ:
- 4.435 Å, 2θ 20.02, I 32
- 4.186 Å, 2θ 21.22, I 100
- 3.562 Å, 2θ 25.00, I 26
- 3.328 Å, 2θ 26.78, I 21
- 3.220 Å, 2θ 27.71, I 15
- 2.895 Å, 2θ 30.89, I 27
- 2.692 Å, 2θ 33.28, I 23
- 1.452 Å, 2θ 64.12, I 17

Structural model:
```
data_Li2SeO4
_chemical_formula_sum 'Li36 Se18 O72'
_cell_length_a 14.2461
_cell_length_b 14.2461
_cell_length_c 9.5047
_cell_angle_alpha 90.00
_cell_angle_beta 90.00
_cell_angle_gamma 120.00
_symmetry_space_group_name_H-M 'R -3'
_symmetry_Int_Tables_number 148
_symmetry_space_group_name_Hall '-R 3'
loop_
_atom_site_label
_atom_site_fract_x
_atom_site_fract_y
_atom_site_fract_z
Li1 0.0145 0.2073 0.0853
Li2 0.0198 0.2121 0.4161
Se1 0.0134 0.2110 0.7506
O1 0.0036 0.3230 0.7486
O2 0.0765 0.2067 0.8968
O3 0.0795 0.2071 0.6069
O4 0.1036 0.2156 0.2497
```


[3]
Theoretical XRD peak list of LiSe2O6 for Cu Kα, 1.54184 Å, from the GGA-PBE geometry in the Materials Project.
Neutral-atom scattering factors, no anomalous dispersion.

Top 8 peaks for 5 to 70 degrees two-theta, in order of rising 2θ:
- 6.298 Å, 2θ 14.06, I 37
- 4.998 Å, 2θ 17.75, I 38
- 4.690 Å, 2θ 18.92, I 87
- 4.373 Å, 2θ 20.31, I 100
- 4.107 Å, 2θ 21.64, I 53
- 3.967 Å, 2θ 22.41, I 50
- 3.440 Å, 2θ 25.90, I 33
- 3.094 Å, 2θ 28.86, I 53

Structural model:
```
data_LiSe2O6
_chemical_formula_sum 'Li2 Se4 O12'
_cell_length_a 6.1018
_cell_length_b 6.2979
_cell_length_c 9.8124
_cell_angle_alpha 90.00
_cell_angle_beta 123.17
_cell_angle_gamma 90.00
_symmetry_space_group_name_H-M 'P 1 c 1'
_symmetry_Int_Tables_number 7
loop_
_symmetry_equiv_pos_as_xyz
'x,y,z'
'x,-y,z+1/2'
loop_
_atom_site_label
_atom_site_fract_x
_atom_site_fract_y
_atom_site_fract_z
Li1 0.0000 0.1955 0.0000
Se1 0.3898 0.0715 0.8728
Se2 0.9090 0.2888 0.5116
O1 0.0485 0.4864 0.1030
O2 0.0801 0.0701 0.6570
O3 0.3113 0.2008 0.9873
O4 0.6103 0.2022 0.8580
O5 0.6096 0.2679 0.4822
O6 0.9237 0.2090 0.3583
```


[4]
Theoretical XRD peak list of Li2SeO4 for Cu Kα, 1.54184 Å, from the GGA-PBE geometry in the Materials Project.
Neutral-atom scattering factors, no anomalous dispersion.

Top 8 peaks for 5 to 70 degrees two-theta, in order of rising 2θ:
- 7.973 Å, 2θ 11.10, I 89
- 6.717 Å, 2θ 13.18, I 91
- 4.579 Å, 2θ 19.38, I 100
- 4.168 Å, 2θ 21.32, I 57
- 4.001 Å, 2θ 22.22, I 47
- 3.805 Å, 2θ 23.38, I 62
- 3.422 Å, 2θ 26.04, I 34
- 3.380 Å, 2θ 26.37, I 42

Structural model:
```
data_Li2SeO4
_chemical_formula_sum 'Li12 Se6 O24'
_cell_length_a 8.8919
_cell_length_b 8.9388
_cell_length_c 9.8708
_cell_angle_alpha 71.19
_cell_angle_beta 72.49
_cell_angle_gamma 66.47
_symmetry_space_group_name_H-M 'P 1'
_symmetry_Int_Tables_number 1
loop_
_symmetry_equiv_pos_as_xyz
'x,y,z'
loop_
_atom_site_label
_atom_site_fract_x
_atom_site_fract_y
_atom_site_fract_z
Li1 0.0000 0.0000 0.0000
Li2 0.0021 0.2806 0.6647
Li3 0.1924 0.3082 0.8346
Li4 0.2218 0.5885 0.4934
Li5 0.3036 0.2263 0.3451
Li6 0.3839 0.6579 0.8788
Li7 0.5032 0.5373 0.1956
Li8 0.5549 0.0434 0.0422
Li9 0.6751 0.5355 0.4477
Li10 0.7170 0.0516 0.3008
Li11 0.8436 0.9299 0.6200
Li12 0.9335 0.3579 0.1421
Se1 0.3023 0.9437 0.0210
Se2 0.3044 0.4002 0.0324
Se3 0.4690 0.2943 0.5402
Se4 0.7551 0.2978 0.9553
Se5 0.9171 0.6491 0.4714
Se6 0.9377 0.1760 0.4506
O1 0.0951 0.5758 0.3586
O2 0.1075 0.4383 0.0235
O3 0.1243 0.0174 0.1340
O4 0.1412 0.1243 0.4386
O5 0.2435 0.8713 0.9129
O6 0.2564 0.3454 0.6158
O7 0.3356 0.5385 0.0923
O8 0.3782 0.2120 0.1422
O9 0.3800 0.0953 0.9102
O10 0.4036 0.4286 0.8566
O11 0.4605 0.8040 0.1029
O12 0.4713 0.4967 0.4361
O13 0.4966 0.1967 0.4067
O14 0.5991 0.7276 0.7525
O15 0.6333 0.8488 0.7526
O16 0.7312 0.3945 0.0881
O17 0.7535 0.0947 0.0564
O18 0.7610 0.7898 0.3879
O19 0.8368 0.4977 0.5785
O20 0.8566 0.1542 0.6315
O21 0.8605 0.3674 0.3461
O22 0.8804 0.0437 0.4070
O23 0.9681 0.2461 0.8770
O24 0.9760 0.7150 0.5843
```